This entry pairs a crystal structure of CaSmCrO4 with its calculated powder XRD pattern. Radiation: copper Kα. Structure: the GGA+U geometry in Alexandria.
Peak positions follow from Bragg's law for the DFT cell and can differ from measured ones.

Top 10 peaks for 2θ = 10–80°, sorted by position:
| Position (°2θ) | I (rel.) |
| --- | --- |
| 18.1 | 35.6 |
| 21.8 | 42.2 |
| 31.8 | 37.5 |
| 32.3 | 100.0 |
| 33.2 | 38.3 |
| 40.0 | 20.2 |
| 44.9 | 16.5 |
| 46.6 | 40.3 |
| 57.0 | 22.5 |
| 58.7 | 18.0 |

Structure:
```
data_CaSmCrO4
_chemical_formula_sum 'Ca2 Sm2 Cr2 O8'
_space_group_name_H-M_alt 'P 1'
_space_group_IT_number 1
_space_group_name_Hall 'P 1'
_cell_length_a 6.487
_cell_length_b 6.487
_cell_length_c 5.629
_cell_angle_alpha 90.00
_cell_angle_beta 90.00
_cell_angle_gamma 130.77
loop_
_atom_site_label
_atom_site_type_symbol
_atom_site_fract_x
_atom_site_fract_y
_atom_site_fract_z
_atom_site_occupancy
Ca1 Ca 0.103 0.897 0.500 1
Ca2 Ca 0.897 0.103 0.000 1
Sm1 Sm 0.389 0.611 0.466 1
Sm2 Sm 0.611 0.389 0.966 1
Cr1 Cr 0.250 0.750 0.982 1
Cr2 Cr 0.750 0.250 0.482 1
O1 O 0.025 0.473 0.734 1
O2 O 0.082 0.918 0.914 1
O3 O 0.425 0.575 0.057 1
O4 O 0.473 0.025 0.234 1
O5 O 0.527 0.975 0.734 1
O6 O 0.575 0.425 0.557 1
O7 O 0.918 0.082 0.414 1
O8 O 0.975 0.527 0.234 1
```